Structure and simulated powder X-ray diffraction pattern of Ti3PO7 (DFT lattice parameters and positions (GGA-PBE); Cu Kα).
Peak positions follow from Bragg's law for the DFT cell and can differ from measured ones.

Atomic structure:
abc: 8.1160 8.1160 7.1240
angles: 90.00 90.00 120.00
Space group R3m (No. 160, hexagonal axes)
Unique sites:
Ti1 0.0916 0.5458 0.0000
P1 0.0000 0.0000 0.9122
O1 0.0000 0.0000 0.1388
O2 0.2035 0.4070 0.1136
O3 0.2093 0.1046 0.8519

Top 10 peaks for 2θ = 5–70°, by angle:
2θ/deg  d [Å]  I (rel.)  h k l
17.73  5.003  20  1 0 1
28.08  3.177  45  0 1 2
28.32  3.152  100  0 2 1
36.08  2.489  15  2 1 1
38.42  2.343  10  3 0 0
42.45  2.130  26  1 2 2
48.41  1.880  17  1 3 1
55.06  1.668  35  0 3 3
63.31  1.469  14  2 3 2
69.49  1.353  14  3 3 0